Entry 1:
Calculated powder XRD pattern of AlPtS for Cu Kα, from DFT lattice parameters and positions (GGA-PBE).
Intensities are scaled so that the largest is 100.

Crystal structure
```
AlPtS
1.0
6.073 0.000 0.000
0.000 6.107 0.000
-2.534 0.000 5.656
Al Pt S
4 4 4
Direct
0.149 0.000 0.124
0.336 0.505 0.452
0.664 0.005 0.548
0.851 0.500 0.876
0.267 0.130 0.552
0.290 0.632 0.054
0.710 0.132 0.946
0.733 0.630 0.448
0.145 0.734 0.641
0.326 0.243 0.950
0.674 0.743 0.050
0.855 0.234 0.359
```

Most intense lines, 5° ≤ 2θ ≤ 70°, most intense first:
- d = 3.936 Å, I 100
- d = 3.054 Å, I 36
- d = 2.771 Å, I 29
- d = 2.927 Å, I 24
- d = 1.915 Å, I 24
- d = 2.828 Å, I 22
- d = 2.052 Å, I 20
- d = 1.893 Å, I 19
- d = 1.968 Å, I 17
- d = 2.075 Å, I 14

Entry 2:
Calculated powder XRD pattern of HfZn4Cu for Cu Kα, from DFT lattice parameters and positions (GGA-PBE).
Intensities are scaled so that the largest is 100.

Crystal structure
```
HfZn4Cu
1.0
2.993 0.000 0.000
0.000 3.001 0.000
-0.055 0.000 10.211
Hf Zn Cu
1 4 1
Direct
0.000 0.000 0.000
0.000 0.000 0.357
0.000 0.000 0.643
0.497 0.500 0.805
0.503 0.500 0.195
0.500 0.500 0.500
```

Most intense lines, 5° ≤ 2θ ≤ 70°, most intense first:
- d = 2.252 Å, I 100
- d = 2.119 Å, I 63
- d = 2.241 Å, I 33
- d = 2.588 Å, I 20
- d = 10.211 Å, I 20
- d = 5.105 Å, I 11
- d = 1.501 Å, I 10
- d = 1.496 Å, I 10
- d = 2.878 Å, I 9
- d = 1.702 Å, I 9

Entry 3:
Calculated powder XRD pattern of CsDyCu2Br8 for Cu Kα, from DFT lattice parameters and positions (GGA-PBE).
Intensities are scaled so that the largest is 100.

Crystal structure
```
CsDyCu2Br8
1.0
5.339 -3.904 0.000
5.339 3.904 0.000
-0.728 0.000 10.801
Cs Dy Cu Br
1 1 2 8
Direct
0.000 0.000 0.000
0.000 0.000 0.500
0.368 0.368 0.707
0.632 0.632 0.293
0.236 0.757 0.304
0.243 0.764 0.696
0.264 0.264 0.506
0.333 0.333 0.917
0.667 0.667 0.083
0.736 0.736 0.494
0.757 0.236 0.304
0.764 0.243 0.696
```

Most intense lines, 5° ≤ 2θ ≤ 70°, most intense first:
- d = 3.164 Å, I 100
- d = 3.233 Å, I 93
- d = 10.801 Å, I 73
- d = 5.331 Å, I 62
- d = 5.537 Å, I 53
- d = 4.022 Å, I 52
- d = 1.999 Å, I 51
- d = 3.904 Å, I 35
- d = 3.055 Å, I 34
- d = 1.952 Å, I 32

Entry 4:
Calculated powder XRD pattern of Sc2Al3 for Cu Kα, from DFT lattice parameters and positions (GGA-PBE).
Intensities are scaled so that the largest is 100.

Crystal structure
```
Sc2Al3
1.0
2.707 -4.808 0.000
2.707 4.808 0.000
0.000 0.000 7.663
Sc Al
4 6
Direct
0.150 0.850 0.904
0.350 0.650 0.404
0.650 0.350 0.596
0.850 0.150 0.096
0.000 0.000 0.500
0.138 0.362 0.750
0.362 0.138 0.250
0.500 0.500 0.000
0.638 0.862 0.750
0.862 0.638 0.250
```

Most intense lines, 5° ≤ 2θ ≤ 70°, most intense first:
- d = 2.255 Å, I 100
- d = 2.595 Å, I 73
- d = 2.974 Å, I 53
- d = 2.211 Å, I 30
- d = 2.404 Å, I 15
- d = 1.540 Å, I 13
- d = 1.638 Å, I 12
- d = 1.357 Å, I 10
- d = 1.457 Å, I 9
- d = 2.707 Å, I 9

Entry 5:
Calculated powder XRD pattern of KB for Cu Kα, from DFT lattice parameters and positions (GGA-PBE).
Intensities are scaled so that the largest is 100.

Crystal structure
```
KB
1.0
-5.964 5.964 1.594
5.964 -5.964 1.594
5.964 5.964 -1.594
K B
4 4
Direct
0.000 0.251 0.251
0.000 0.749 0.749
0.251 0.000 0.251
0.749 0.000 0.749
0.253 0.253 0.505
0.253 0.747 0.000
0.747 0.253 0.000
0.747 0.747 0.495
```

Most intense lines, 5° ≤ 2θ ≤ 70°, most intense first:
- d = 4.217 Å, I 100
- d = 2.982 Å, I 97
- d = 2.737 Å, I 51
- d = 3.080 Å, I 36
- d = 2.109 Å, I 31
- d = 2.296 Å, I 30
- d = 5.964 Å, I 24
- d = 1.910 Å, I 24
- d = 2.143 Å, I 23
- d = 2.487 Å, I 20

Entry 6:
Calculated powder XRD pattern of U2TeSe3 for Cu Kα, from DFT lattice parameters and positions (GGA-PBE).
Intensities are scaled so that the largest is 100.

Crystal structure
```
U2TeSe3
1.0
6.905 -2.875 0.000
6.905 2.875 0.000
-2.356 0.000 7.712
U Te Se
4 2 6
Direct
0.141 0.144 0.071
0.144 0.141 0.571
0.856 0.859 0.429
0.859 0.856 0.929
0.276 0.724 0.750
0.724 0.276 0.250
0.225 0.775 0.250
0.295 0.297 0.398
0.297 0.295 0.898
0.703 0.705 0.102
0.705 0.703 0.602
0.775 0.225 0.750
```

Most intense lines, 5° ≤ 2θ ≤ 70°, most intense first:
- d = 2.973 Å, I 100
- d = 2.305 Å, I 51
- d = 2.335 Å, I 42
- d = 5.271 Å, I 38
- d = 3.301 Å, I 24
- d = 2.636 Å, I 24
- d = 3.496 Å, I 24
- d = 2.168 Å, I 23
- d = 1.476 Å, I 22
- d = 2.016 Å, I 21

Entry 7:
Calculated powder XRD pattern of PdCl8 for Cu Kα, from DFT lattice parameters and positions (GGA-PBE).
Intensities are scaled so that the largest is 100.

Crystal structure
```
PdCl8
1.0
-3.840 4.060 4.746
3.840 -4.060 4.746
3.840 4.060 -4.746
Pd Cl
1 8
Direct
0.000 0.000 0.000
0.000 0.295 0.295
0.000 0.705 0.705
0.244 0.244 0.000
0.316 0.685 0.369
0.316 0.947 0.631
0.684 0.053 0.369
0.684 0.315 0.631
0.756 0.756 0.000
```

Most intense lines, 5° ≤ 2θ ≤ 70°, most intense first:
- d = 4.060 Å, I 100
- d = 5.970 Å, I 51
- d = 6.170 Å, I 50
- d = 2.948 Å, I 50
- d = 2.441 Å, I 35
- d = 3.357 Å, I 25
- d = 2.057 Å, I 16
- d = 1.787 Å, I 14
- d = 1.860 Å, I 14
- d = 2.030 Å, I 13

Entry 8:
Calculated powder XRD pattern of CaB3H7O9 for Cu Kα, from DFT lattice parameters and positions (GGA-PBE).
Intensities are scaled so that the largest is 100.

Crystal structure
```
CaB3H7O9
1.0
6.502 0.000 0.000
1.307 6.514 0.000
0.213 0.483 8.420
Ca B H O
2 6 14 18
Direct
0.243 0.488 0.122
0.757 0.512 0.878
0.165 0.209 0.869
0.306 0.535 0.762
0.490 0.177 0.703
0.510 0.823 0.297
0.694 0.465 0.238
0.835 0.791 0.131
0.048 0.336 0.395
0.061 0.867 0.279
0.149 0.039 0.082
0.222 0.441 0.470
0.277 0.743 0.558
0.329 0.077 0.393
0.356 0.820 0.837
0.644 0.180 0.163
0.671 0.923 0.607
0.723 0.257 0.442
0.778 0.559 0.530
0.851 0.961 0.918
0.939 0.133 0.721
0.952 0.664 0.605
0.045 0.835 0.170
0.152 0.435 0.847
0.200 0.162 0.039
0.202 0.343 0.390
0.207 0.641 0.615
0.329 0.090 0.766
0.346 0.926 0.387
0.383 0.671 0.871
0.498 0.380 0.723
0.502 0.620 0.277
0.617 0.329 0.129
0.654 0.074 0.613
0.671 0.910 0.234
0.793 0.359 0.385
0.798 0.657 0.610
0.800 0.838 0.961
0.848 0.565 0.153
0.955 0.165 0.830
```

Most intense lines, 5° ≤ 2θ ≤ 70°, most intense first:
- d = 6.504 Å, I 100
- d = 8.420 Å, I 94
- d = 3.156 Å, I 63
- d = 3.187 Å, I 37
- d = 3.333 Å, I 37
- d = 5.010 Å, I 36
- d = 3.094 Å, I 31
- d = 2.525 Å, I 30
- d = 2.556 Å, I 29
- d = 2.582 Å, I 27

Entry 9:
Calculated powder XRD pattern of ErBeSe for Cu Kα, from DFT lattice parameters and positions (GGA-PBE).
Intensities are scaled so that the largest is 100.

Crystal structure
```
ErBeSe
1.0
2.151 1.242 9.157
-2.151 1.242 9.157
0.000 -2.483 9.157
Er Be Se
2 2 2
Direct
0.060 0.060 0.060
0.940 0.940 0.940
0.326 0.326 0.326
0.674 0.674 0.674
0.232 0.232 0.232
0.768 0.768 0.768
```

Most intense lines, 5° ≤ 2θ ≤ 70°, most intense first:
- d = 3.691 Å, I 100
- d = 2.702 Å, I 72
- d = 2.151 Å, I 57
- d = 4.578 Å, I 57
- d = 1.947 Å, I 35
- d = 2.211 Å, I 28
- d = 9.157 Å, I 27
- d = 2.074 Å, I 23
- d = 2.525 Å, I 21
- d = 3.274 Å, I 19

Entry 10:
Calculated powder XRD pattern of Ce4Sm2Sb3O2 for Cu Kα, from DFT lattice parameters and positions (GGA-PBE).
Intensities are scaled so that the largest is 100.

Crystal structure
```
Ce4Sm2Sb3O2
1.0
-2.346 2.346 13.011
2.346 -2.346 13.011
2.346 2.346 -13.011
Ce Sm Sb O
4 2 3 2
Direct
0.085 0.585 0.500
0.415 0.915 0.500
0.585 0.085 0.500
0.915 0.415 0.500
0.198 0.198 0.000
0.802 0.802 0.000
0.322 0.322 0.000
0.500 0.500 0.000
0.678 0.678 0.000
0.102 0.102 0.000
0.898 0.898 0.000
```

Most intense lines, 5° ≤ 2θ ≤ 70°, most intense first:
- d = 2.635 Å, I 100
- d = 2.346 Å, I 58
- d = 3.214 Å, I 49
- d = 1.404 Å, I 28
- d = 2.955 Å, I 24
- d = 1.659 Å, I 20
- d = 1.742 Å, I 20
- d = 2.914 Å, I 17
- d = 2.602 Å, I 17
- d = 3.253 Å, I 16

Entry 11:
Calculated powder XRD pattern of Al5Cl3 for Cu Kα, from DFT lattice parameters and positions (GGA-PBE).
Intensities are scaled so that the largest is 100.

Crystal structure
```
Al5Cl3
1.0
0.000 11.448 10.520
2.455 0.000 10.520
2.455 11.448 0.000
Al Cl
10 6
Direct
0.066 0.934 0.066
0.157 0.654 0.843
0.244 0.430 0.570
0.390 0.613 0.387
0.430 0.244 0.756
0.613 0.390 0.610
0.654 0.157 0.346
0.741 0.875 0.125
0.875 0.741 0.259
0.934 0.066 0.934
0.084 0.084 0.916
0.238 0.576 0.424
0.403 0.752 0.248
0.576 0.238 0.762
0.724 0.724 0.276
0.752 0.403 0.597
```

Most intense lines, 5° ≤ 2θ ≤ 70°, most intense first:
- d = 11.448 Å, I 100
- d = 10.520 Å, I 85
- d = 4.052 Å, I 69
- d = 2.582 Å, I 35
- d = 1.990 Å, I 20
- d = 3.961 Å, I 15
- d = 2.455 Å, I 13
- d = 3.089 Å, I 12
- d = 1.779 Å, I 12
- d = 7.746 Å, I 12

Entry 12:
Calculated powder XRD pattern of Pm5HoPb8 for Cu Kα, from DFT lattice parameters and positions (GGA-PBE).
Intensities are scaled so that the largest is 100.

Crystal structure
```
Pm5HoPb8
1.0
-4.858 4.858 4.606
4.858 -4.858 4.606
4.858 4.858 -4.606
Pm Ho Pb
5 1 8
Direct
0.000 0.000 0.000
0.257 0.597 0.107
0.403 0.510 0.660
0.490 0.150 0.893
0.850 0.743 0.340
0.750 0.250 0.500
0.091 0.186 0.723
0.122 0.708 0.729
0.292 0.021 0.414
0.463 0.368 0.277
0.607 0.878 0.586
0.632 0.909 0.096
0.814 0.537 0.904
0.979 0.393 0.271
```

Most intense lines, 5° ≤ 2θ ≤ 70°, most intense first:
- d = 3.072 Å, I 100
- d = 3.055 Å, I 85
- d = 2.556 Å, I 83
- d = 2.928 Å, I 83
- d = 2.508 Å, I 81
- d = 2.586 Å, I 75
- d = 1.965 Å, I 50
- d = 1.498 Å, I 26
- d = 3.930 Å, I 25
- d = 1.574 Å, I 23

Q: What is the formula in the seventh record?
A: PdCl8